Entry 1:
The following is a computed X-ray powder pattern of Li8GaSe6. It was derived from a GGA-PBE-relaxed structure, using Cu Ka.
No peak broadening, texture or thermal motion is included.

Structural model:
```
30
Lattice="6.8630 0.0000 0.0000 0.0000 7.8681 0.0000 0.0000 0.0000 11.3352" Properties=species:S:1:pos:R:3 pbc="T T T"
Li 0.0000 0.8370 0.0000
Li 0.0000 1.8971 4.8643
Li 1.4538 4.5122 8.7785
Li 1.4797 7.4436 8.7387
Li 1.5452 5.8167 1.1802
Li 1.8863 2.0514 6.8478
Li 1.9518 0.4245 3.0712
Li 1.9777 3.3558 3.1109
Li 3.4315 5.9710 10.5319
Li 3.4315 7.0311 5.6676
Li 4.8853 3.3558 3.1109
Li 4.9112 0.4245 3.0712
Li 4.9767 2.0514 6.8478
Li 5.3178 5.8167 1.1802
Li 5.3833 7.4436 8.7387
Li 5.4092 4.5122 8.7785
Ga 0.0000 5.8647 5.4137
Ga 3.4315 2.0034 11.0813
Se 0.0000 0.0636 6.6525
Se 0.0000 1.8920 2.3982
Se 0.0000 3.8433 6.6890
Se 0.0000 6.1140 10.4800
Se 1.6106 2.0273 9.4531
Se 1.8209 5.8407 3.7855
Se 3.4315 1.7540 4.8124
Se 3.4315 4.0247 1.0214
Se 3.4315 5.9760 8.0658
Se 3.4315 7.8045 0.9849
Se 5.0421 5.8407 3.7855
Se 5.2524 2.0273 9.4531
```

Largest 12 diffraction maxima, low angle first, 2θ from 5° to 70°:
- 6.464 Å, 2θ 13.7, I = 29
- 5.871 Å, 2θ 15.1, I = 42
- 3.934 Å, 2θ 22.6, I = 31
- 3.820 Å, 2θ 23.3, I = 100
- 3.310 Å, 2θ 26.9, I = 59
- 3.268 Å, 2θ 27.3, I = 58
- 3.232 Å, 2θ 27.6, I = 76
- 3.031 Å, 2θ 29.5, I = 70
- 2.935 Å, 2θ 30.5, I = 54
- 2.049 Å, 2θ 44.2, I = 50
- 1.910 Å, 2θ 47.6, I = 83
- 1.716 Å, 2θ 53.4, I = 28


Entry 2:
The following is a computed X-ray powder pattern of Li2GaTeSe4. It was derived from a GGA-PBE-relaxed structure, using Cu Ka.
No peak broadening, texture or thermal motion is included.

Structural model:
```
8
Lattice="4.8164 0.0000 0.0000 -0.5653 6.4774 0.0000 -1.4025 -2.0400 6.3014" Properties=species:S:1:pos:R:3 pbc="T T T"
Li 0.0000 0.0000 0.0000
Li 0.9384 4.0605 2.8321
Ga 3.4116 0.5964 2.7161
Te 0.5603 1.0617 5.8551
Se -0.2556 2.3036 1.3871
Se -0.1620 -0.9086 4.2059
Se 1.7813 5.7055 1.0212
Se 2.3074 2.2241 4.2550
```

Largest 12 diffraction maxima, low angle first, 2θ from 5° to 70°:
- 6.162 Å, 2θ 14.4, I = 41
- 5.296 Å, 2θ 16.7, I = 19
- 4.272 Å, 2θ 20.8, I = 31
- 3.406 Å, 2θ 26.2, I = 31
- 3.379 Å, 2θ 26.4, I = 100
- 3.081 Å, 2θ 29.0, I = 22
- 2.896 Å, 2θ 30.9, I = 51
- 2.664 Å, 2θ 33.6, I = 23
- 2.483 Å, 2θ 36.2, I = 33
- 2.378 Å, 2θ 37.8, I = 21
- 2.055 Å, 2θ 44.1, I = 23
- 1.846 Å, 2θ 49.4, I = 17


Entry 3:
The following is a computed X-ray powder pattern of LiGaSi. It was derived from a GGA-PBE-relaxed structure, using Cu Ka.
No peak broadening, texture or thermal motion is included.

Structural model:
```
6
Lattice="1.3777 -6.1325 0.0000 1.3777 6.1325 0.0000 0.0000 0.0000 5.5051" Properties=species:S:1:pos:R:3 pbc="T T T"
Li 0.0000 0.0000 1.3389
Li 0.0000 0.0000 4.1662
Ga 1.3777 1.9134 2.7525
Ga 1.3777 -1.9134 2.7525
Si 1.3777 2.0181 0.0000
Si 1.3777 -2.0181 0.0000
```

Largest 12 diffraction maxima, low angle first, 2θ from 5° to 70°:
- 6.133 Å, 2θ 14.4, I = 75
- 5.505 Å, 2θ 16.1, I = 75
- 3.066 Å, 2θ 29.1, I = 41
- 2.753 Å, 2θ 32.5, I = 72
- 2.688 Å, 2θ 33.3, I = 37
- 2.511 Å, 2θ 35.8, I = 26
- 2.285 Å, 2θ 39.4, I = 100
- 2.110 Å, 2θ 42.9, I = 27
- 2.046 Å, 2θ 44.3, I = 67
- 1.923 Å, 2θ 47.3, I = 39
- 1.758 Å, 2θ 52.0, I = 72
- 1.641 Å, 2θ 56.0, I = 26


Entry 4:
The following is a computed X-ray powder pattern of Li4GaSi2. It was derived from a GGA-PBE-relaxed structure, using Cu Ka.
No peak broadening, texture or thermal motion is included.

Structural model:
```
7
Lattice="3.3474 -1.9246 0.0000 3.3474 1.9246 0.0000 -0.0286 0.0000 9.3170" Properties=species:S:1:pos:R:3 pbc="T T T"
Li 1.0995 0.0000 2.6103
Li 1.0946 0.0000 7.9882
Li 5.5716 0.0000 1.3287
Li 5.5667 0.0000 6.7067
Ga 3.3474 0.0000 0.0000
Si 1.1006 0.0000 5.1597
Si 5.5657 0.0000 4.1573
```

Largest 12 diffraction maxima, low angle first, 2θ from 5° to 70°:
- 4.658 Å, 2θ 19.1, I = 68
- 3.146 Å, 2θ 28.4, I = 100
- 3.140 Å, 2θ 28.4, I = 30
- 2.719 Å, 2θ 32.9, I = 15
- 2.711 Å, 2θ 33.0, I = 17
- 2.275 Å, 2θ 39.6, I = 37
- 2.273 Å, 2θ 39.7, I = 21
- 1.931 Å, 2θ 47.1, I = 24
- 1.925 Å, 2θ 47.2, I = 12
- 1.909 Å, 2θ 47.6, I = 16
- 1.780 Å, 2θ 51.3, I = 18
- 1.642 Å, 2θ 56.0, I = 13


Entry 5:
The following is a computed X-ray powder pattern of Li2Sm2Ga3. It was derived from a GGA-PBE-relaxed structure, using Cu Ka.
No peak broadening, texture or thermal motion is included.

Structural model:
```
14
Lattice="2.1685 -9.6250 0.0000 2.1685 9.6250 0.0000 0.0000 0.0000 7.1770" Properties=species:S:1:pos:R:3 pbc="T T T"
Li 2.1685 6.0018 4.0178
Li 2.1685 6.0018 6.7476
Li 2.1685 -6.0018 0.4293
Li 2.1685 -6.0018 3.1592
Sm 2.1685 2.9795 5.3827
Sm 2.1685 1.0618 1.7942
Sm 2.1685 -1.0618 5.3827
Sm 2.1685 -2.9795 1.7942
Ga 2.1685 8.4864 0.5142
Ga 2.1685 8.4864 3.0743
Ga 2.1685 4.3265 1.7942
Ga 2.1685 -4.3265 5.3827
Ga 2.1685 -8.4864 4.1026
Ga 2.1685 -8.4864 6.6628
```

Largest 12 diffraction maxima, low angle first, 2θ from 5° to 70°:
- 9.625 Å, 2θ 9.2, I = 24
- 3.997 Å, 2θ 22.2, I = 16
- 3.590 Å, 2θ 24.8, I = 41
- 2.929 Å, 2θ 30.5, I = 16
- 2.737 Å, 2θ 32.7, I = 67
- 2.672 Å, 2θ 33.5, I = 100
- 2.168 Å, 2θ 41.7, I = 23
- 2.142 Å, 2θ 42.2, I = 20
- 1.918 Å, 2θ 47.4, I = 15
- 1.692 Å, 2θ 54.2, I = 12
- 1.524 Å, 2θ 60.8, I = 14
- 1.437 Å, 2θ 64.9, I = 11


Entry 6:
The following is a computed X-ray powder pattern of LiSm2Ga12. It was derived from a GGA-PBE-relaxed structure, using Cu Ka.
No peak broadening, texture or thermal motion is included.

Structural model:
```
30
Lattice="6.1845 0.0000 0.0000 0.0000 6.1845 0.0000 0.0000 0.0000 15.1401" Properties=species:S:1:pos:R:3 pbc="T T T"
Li 1.5461 4.6384 0.0000
Li 4.6384 1.5461 0.0000
Sm 1.5461 4.6384 3.7017
Sm 1.5461 4.6384 11.4384
Sm 4.6384 1.5461 3.7017
Sm 4.6384 1.5461 11.4384
Ga 0.0043 3.0965 1.3090
Ga 0.0043 6.1802 13.8311
Ga 0.5051 3.5973 8.6393
Ga 0.5051 5.6794 6.5008
Ga 1.5461 1.5461 2.7406
Ga 1.5461 1.5461 5.2019
Ga 1.5461 1.5461 9.9382
Ga 1.5461 1.5461 12.3995
Ga 2.5872 3.5973 6.5008
Ga 2.5872 5.6794 8.6393
Ga 3.0880 3.0965 13.8311
Ga 3.0880 6.1802 1.3090
Ga 3.0965 0.0043 13.8311
Ga 3.0965 3.0880 1.3090
Ga 3.5973 0.5051 6.5008
Ga 3.5973 2.5872 8.6393
Ga 4.6384 4.6384 2.7406
Ga 4.6384 4.6384 5.2019
Ga 4.6384 4.6384 9.9382
Ga 4.6384 4.6384 12.3995
Ga 5.6794 0.5051 8.6393
Ga 5.6794 2.5872 6.5008
Ga 6.1802 0.0043 1.3090
Ga 6.1802 3.0880 13.8311
```

Largest 12 diffraction maxima, low angle first, 2θ from 5° to 70°:
- 2.862 Å, 2θ 31.2, I = 100
- 2.598 Å, 2θ 34.5, I = 7
- 2.523 Å, 2θ 35.6, I = 9
- 2.425 Å, 2θ 37.1, I = 9
- 2.395 Å, 2θ 37.6, I = 13
- 2.233 Å, 2θ 40.4, I = 7
- 2.186 Å, 2θ 41.3, I = 62
- 2.164 Å, 2θ 41.7, I = 10
- 1.955 Å, 2θ 46.4, I = 9
- 1.737 Å, 2θ 52.7, I = 20
- 1.546 Å, 2θ 59.8, I = 16
- 1.360 Å, 2θ 69.1, I = 25


Entry 7:
The following is a computed X-ray powder pattern of Li3Sm2Ga4. It was derived from a GGA-PBE-relaxed structure, using Cu Ka.
No peak broadening, texture or thermal motion is included.

Structural model:
```
18
Lattice="2.8948 -8.0987 0.0000 2.8948 8.0987 0.0000 0.0000 0.0000 7.6597" Properties=species:S:1:pos:R:3 pbc="T T T"
Li 0.0000 0.0000 0.0000
Li 1.4474 3.7894 1.9149
Li 1.4474 -3.7894 5.7448
Li 2.8948 0.0000 3.8299
Li 4.3422 3.7894 1.9149
Li 4.3422 -3.7894 5.7448
Sm 2.8948 6.4541 3.0571
Sm 2.8948 1.6446 6.8869
Sm 2.8948 -1.6446 0.7728
Sm 2.8948 -6.4541 4.6027
Ga 2.8948 5.4702 0.0389
Ga 1.4474 1.1393 1.9149
Ga 1.4474 -1.1393 5.7448
Ga 2.8948 2.6285 3.8687
Ga 2.8948 -2.6285 3.7910
Ga 4.3422 1.1393 1.9149
Ga 4.3422 -1.1393 5.7448
Ga 2.8948 -5.4702 7.6209
```

Largest 12 diffraction maxima, low angle first, 2θ from 5° to 70°:
- 8.099 Å, 2θ 10.9, I = 46
- 4.442 Å, 2θ 20.0, I = 50
- 4.049 Å, 2θ 22.0, I = 100
- 3.134 Å, 2θ 28.5, I = 45
- 2.749 Å, 2θ 32.6, I = 87
- 2.652 Å, 2θ 33.8, I = 99
- 2.568 Å, 2θ 34.9, I = 84
- 2.435 Å, 2θ 36.9, I = 69
- 2.355 Å, 2θ 38.2, I = 38
- 2.310 Å, 2θ 39.0, I = 78
- 2.251 Å, 2θ 40.1, I = 38
- 1.621 Å, 2θ 56.8, I = 36


Entry 8:
The following is a computed X-ray powder pattern of LiSmGa6. It was derived from a GGA-PBE-relaxed structure, using Cu Ka.
No peak broadening, texture or thermal motion is included.

Structural model:
```
8
Lattice="4.3803 0.0000 0.0000 0.0000 6.4495 0.0000 0.0000 0.0000 5.4196" Properties=species:S:1:pos:R:3 pbc="T T T"
Li 0.0000 0.0000 0.0000
Sm 2.1901 3.2248 3.8583
Ga 0.0000 1.3344 2.7855
Ga 0.0000 3.2248 0.7248
Ga 0.0000 5.1152 2.7855
Ga 2.1901 0.0000 3.8112
Ga 2.1901 1.4289 1.0598
Ga 2.1901 5.0207 1.0598
```

Largest 12 diffraction maxima, low angle first, 2θ from 5° to 70°:
- 5.420 Å, 2θ 16.4, I = 9
- 4.380 Å, 2θ 20.3, I = 11
- 3.407 Å, 2θ 26.2, I = 12
- 3.012 Å, 2θ 29.7, I = 29
- 2.771 Å, 2θ 32.3, I = 27
- 2.710 Å, 2θ 33.1, I = 18
- 2.342 Å, 2θ 38.4, I = 100
- 2.304 Å, 2θ 39.1, I = 41
- 2.190 Å, 2θ 41.2, I = 29
- 1.718 Å, 2θ 53.3, I = 13
- 1.703 Å, 2θ 53.8, I = 9
- 1.576 Å, 2θ 58.6, I = 12


Entry 9:
The following is a computed X-ray powder pattern of Li2Sm3Ga8. It was derived from a GGA-PBE-relaxed structure, using Cu Ka.
No peak broadening, texture or thermal motion is included.

Structural model:
```
13
Lattice="5.8502 0.0000 0.0000 -0.1378 5.9477 0.0000 -2.1153 -0.6880 7.5485" Properties=species:S:1:pos:R:3 pbc="T T T"
Li 0.9247 0.0123 0.9136
Li 2.6724 5.2474 6.6349
Sm -0.0689 2.9739 0.0000
Sm 0.2942 0.4166 5.1677
Sm 3.3029 4.8431 2.3809
Ga -1.1565 3.4755 4.9422
Ga 0.3320 4.1998 2.8219
Ga 1.6247 1.7682 2.7149
Ga 0.5936 3.4982 6.9903
Ga 3.0034 1.7615 0.5582
Ga 1.9724 3.4915 4.8336
Ga 3.2651 1.0598 4.7266
Ga 4.7536 1.7842 2.6063
```

Largest 12 diffraction maxima, low angle first, 2θ from 5° to 70°:
- 4.880 Å, 2θ 18.2, I = 26
- 3.060 Å, 2θ 29.2, I = 33
- 2.908 Å, 2θ 30.7, I = 23
- 2.675 Å, 2θ 33.5, I = 100
- 2.626 Å, 2θ 34.1, I = 48
- 2.600 Å, 2θ 34.5, I = 26
- 2.589 Å, 2θ 34.6, I = 60
- 2.516 Å, 2θ 35.7, I = 65
- 2.440 Å, 2θ 36.8, I = 28
- 2.416 Å, 2θ 37.2, I = 51
- 2.195 Å, 2θ 41.1, I = 63
- 2.031 Å, 2θ 44.6, I = 43


Entry 10:
The following is a computed X-ray powder pattern of Li2SmGa2. It was derived from a GGA-PBE-relaxed structure, using Cu Ka.
No peak broadening, texture or thermal motion is included.

Structural model:
```
10
Lattice="-2.0464 2.1199 12.1811 2.0464 -2.1199 12.1811 2.0464 2.1199 -12.1811" Properties=species:S:1:pos:R:3 pbc="T T T"
Li 2.0464 1.0600 -1.2047
Li 0.0000 1.0600 1.2046
Li 2.0464 1.0600 10.9765
Li 0.0000 1.0600 13.3858
Sm 2.0464 1.0600 4.2737
Sm 0.0000 1.0600 7.9074
Ga 2.0464 -1.0600 6.7662
Ga 2.0464 -1.0600 9.2694
Ga 0.0000 3.1799 2.9117
Ga 0.0000 3.1799 5.4149
```

Largest 12 diffraction maxima, low angle first, 2θ from 5° to 70°:
- 12.181 Å, 2θ 7.3, I = 100
- 3.198 Å, 2θ 27.9, I = 6
- 3.134 Å, 2θ 28.5, I = 6
- 2.862 Å, 2θ 31.3, I = 33
- 2.690 Å, 2θ 33.3, I = 17
- 2.651 Å, 2θ 33.8, I = 22
- 2.258 Å, 2θ 39.9, I = 14
- 2.120 Å, 2θ 42.7, I = 7
- 2.046 Å, 2θ 44.3, I = 7
- 1.948 Å, 2θ 46.6, I = 6
- 1.629 Å, 2θ 56.5, I = 7
- 1.545 Å, 2θ 59.8, I = 8


Entry 11:
The following is a computed X-ray powder pattern of Li3Sm2Ga2. It was derived from a GGA-PBE-relaxed structure, using Cu Ka.
No peak broadening, texture or thermal motion is included.

Structural model:
```
7
Lattice="2.1554 -10.3308 0.0000 2.1554 10.3308 0.0000 0.0000 0.0000 3.8155" Properties=species:S:1:pos:R:3 pbc="T T T"
Li 0.0000 0.0000 0.0000
Li 2.1554 1.4474 1.9078
Li 2.1554 -1.4474 1.9078
Sm 2.1554 6.8971 0.0000
Sm 2.1554 -6.8971 0.0000
Ga 2.1554 4.3808 1.9078
Ga 2.1554 -4.3808 1.9078
```

Largest 12 diffraction maxima, low angle first, 2θ from 5° to 70°:
- 10.331 Å, 2θ 8.6, I = 100
- 3.654 Å, 2θ 24.4, I = 11
- 3.444 Å, 2θ 25.9, I = 9
- 3.069 Å, 2θ 29.1, I = 9
- 2.830 Å, 2θ 31.6, I = 11
- 2.639 Å, 2θ 34.0, I = 35
- 2.556 Å, 2θ 35.1, I = 12
- 2.435 Å, 2θ 36.9, I = 9
- 2.350 Å, 2θ 38.3, I = 13
- 2.155 Å, 2θ 41.9, I = 7
- 2.026 Å, 2θ 44.7, I = 9
- 1.389 Å, 2θ 67.4, I = 8


Entry 12:
The following is a computed X-ray powder pattern of Li3Ga4Sn. It was derived from a GGA-PBE-relaxed structure, using Cu Ka.
No peak broadening, texture or thermal motion is included.

Structural model:
```
8
Lattice="10.8223 -1.5197 0.0000 10.8223 1.5197 0.0000 -0.9241 0.0000 4.4673" Properties=species:S:1:pos:R:3 pbc="T T T"
Li 0.0000 0.0000 0.0000
Li 2.4496 0.0000 2.8858
Li 18.2710 0.0000 1.5815
Ga 5.2171 0.0000 3.4468
Ga 7.7550 0.0000 3.9778
Ga 12.9656 0.0000 0.4895
Ga 15.5034 0.0000 1.0205
Sn 10.3603 0.0000 2.2336
```

Largest 12 diffraction maxima, low angle first, 2θ from 5° to 70°:
- 5.299 Å, 2θ 16.7, I = 39
- 3.847 Å, 2θ 23.1, I = 79
- 3.818 Å, 2θ 23.3, I = 74
- 3.009 Å, 2θ 29.7, I = 100
- 2.531 Å, 2θ 35.5, I = 69
- 2.513 Å, 2θ 35.7, I = 40
- 2.460 Å, 2θ 36.5, I = 99
- 2.280 Å, 2θ 39.5, I = 84
- 2.061 Å, 2θ 43.9, I = 55
- 2.052 Å, 2θ 44.1, I = 56
- 1.862 Å, 2θ 48.9, I = 63
- 1.817 Å, 2θ 50.2, I = 47